Starting from the PBE geometry in Alexandria, the powder diffraction line list of Pr3CdSn2 was simulated for Cu Kα, 1.54184 Å.
Peak positions follow from Bragg's law for the DFT cell and can differ from measured ones.

Crystal structure
Lattice parameters (Å, degrees): 17.0345 6.5928 6.4932 90.00 103.73 90.00
Space group C2/c (No. 15)
Asymmetric unit:
1 Pr 0.0000 0.1522 0.2500 [4 per cell]
2 Pr 0.1743 0.3899 0.6056 [8 per cell]
3 Cd 0.0000 0.3595 0.7500 [4 per cell]
4 Sn 0.1558 0.1057 0.0449 [8 per cell]

Main lines, by intensity (2θ = 15–90°):
2θ 31.3, d 2.856, intensity 100, hkl 4 0 -2
2θ 32.5, d 2.758, intensity 69, hkl 6 0 0
2θ 30.6, d 2.922, intensity 67, hkl 0 2 1
2θ 32.7, d 2.739, intensity 62, hkl 2 0 2
2θ 33.6, d 2.664, intensity 58, hkl 2 2 1
2θ 35.6, d 2.521, intensity 50, hkl 4 2 -1
2θ 42.5, d 2.126, intensity 29, hkl 6 2 -1
2θ 65.4, d 1.428, intensity 25, hkl 8 0 -4
2θ 50.4, d 1.809, intensity 19, hkl 2 2 -3
2θ 55.8, d 1.648, intensity 17, hkl 0 4 0
2θ 47.8, d 1.904, intensity 16, hkl 6 2 1
2θ 56.3, d 1.633, intensity 15, hkl 10 0 -2

Starting from the PBE geometry in Alexandria, the powder diffraction line list of Pr5Cd2Sn was simulated for Cu Kα, 1.54184 Å.
Peak positions follow from Bragg's law for the DFT cell and can differ from measured ones.

Crystal structure
Lattice parameters (Å, degrees): 8.1241 8.1241 15.4501 90.00 90.00 90.00
Space group I4/mcm (No. 140)
Asymmetric unit:
1 Pr 0.0000 0.0000 0.0000 [4 per cell]
2 Pr 0.1619 0.3381 0.1554 [16 per cell]
3 Cd 0.1279 0.3721 0.5000 [8 per cell]
4 Sn 0.0000 0.0000 0.2500 [4 per cell]

Main lines, by intensity (2θ = 15–90°):
2θ 30.1, d 2.969, intensity 100, hkl 2 1 3
2θ 34.9, d 2.571, intensity 59, hkl 0 0 6
2θ 32.0, d 2.799, intensity 24, hkl 2 0 4
2θ 64.3, d 1.448, intensity 13, hkl 5 2 3
2θ 50.2, d 1.819, intensity 13, hkl 3 1 6
2θ 27.8, d 3.205, intensity 12, hkl 1 1 4
2θ 49.5, d 1.840, intensity 11, hkl 4 1 3
2θ 59.6, d 1.552, intensity 11, hkl 2 1 9
2θ 31.1, d 2.872, intensity 9, hkl 2 2 0
2θ 53.4, d 1.716, intensity 9, hkl 3 3 4
2θ 60.2, d 1.537, intensity 8, hkl 3 3 6
2θ 57.8, d 1.594, intensity 8, hkl 4 0 6

Starting from the PBE geometry in Alexandria, the powder diffraction line list of SrPrCd4 was simulated for Cu Kα, 1.54184 Å.
Peak positions follow from Bragg's law for the DFT cell and can differ from measured ones.

Crystal structure
Lattice parameters (Å, degrees): 5.0435 7.6587 8.7829 90.00 90.00 90.00
Space group Immm (No. 71)
Asymmetric unit:
1 Sr 0.0000 0.0000 0.0000 [2 per cell]
2 Pr 0.0000 0.5000 0.0000 [2 per cell]
3 Cd 0.0000 0.2362 0.3334 [8 per cell]

Main lines, by intensity (2θ = 15–90°):
2θ 31.0, d 2.883, intensity 100, hkl 1 2 1
2θ 35.5, d 2.532, intensity 53, hkl 1 0 3
2θ 60.7, d 1.526, intensity 30, hkl 2 4 0
2θ 35.6, d 2.522, intensity 26, hkl 2 0 0
2θ 47.9, d 1.899, intensity 19, hkl 2 2 2
2θ 60.9, d 1.521, intensity 19, hkl 2 2 4
2θ 83.3, d 1.160, intensity 12, hkl 3 4 3
2θ 47.5, d 1.915, intensity 11, hkl 0 4 0
2θ 47.7, d 1.905, intensity 10, hkl 0 2 4
2θ 61.1, d 1.516, intensity 9, hkl 3 2 1
2θ 63.8, d 1.458, intensity 9, hkl 3 0 3
2θ 23.2, d 3.829, intensity 8, hkl 0 2 0

Starting from the PBE geometry in Alexandria, the powder diffraction line list of TbPr4Cd was simulated for Cu Kα, 1.54184 Å.
Peak positions follow from Bragg's law for the DFT cell and can differ from measured ones.

Crystal structure
Lattice parameters (Å, degrees): 3.7194 3.7194 14.4020 90.00 90.00 90.00
Space group P4/mmm (No. 123)
Asymmetric unit:
1 Tb 0.0000 0.0000 0.0000 [1 per cell]
2 Pr 0.0000 0.0000 0.3536 [2 per cell]
3 Pr 0.5000 0.5000 0.1743 [2 per cell]
4 Cd 0.5000 0.5000 0.5000 [1 per cell]

Main lines, by intensity (2θ = 15–90°):
2θ 30.4, d 2.940, intensity 100, hkl 1 0 3
2θ 34.1, d 2.630, intensity 39, hkl 1 1 0
2θ 58.7, d 1.572, intensity 31, hkl 2 1 3
2θ 51.5, d 1.773, intensity 19, hkl 1 1 6
2θ 63.3, d 1.470, intensity 18, hkl 2 0 6
2θ 49.0, d 1.860, intensity 14, hkl 2 0 0
2θ 37.5, d 2.400, intensity 12, hkl 0 0 6
2θ 83.9, d 1.153, intensity 12, hkl 2 2 6
2θ 79.9, d 1.200, intensity 7, hkl 3 0 3
2θ 81.9, d 1.176, intensity 6, hkl 3 1 0
2θ 56.8, d 1.620, intensity 6, hkl 1 0 8
2θ 71.8, d 1.315, intensity 4, hkl 2 2 0

Starting from the PBE geometry in Alexandria, the powder diffraction line list of Tb6PrCd was simulated for Cu Kα, 1.54184 Å.
Peak positions follow from Bragg's law for the DFT cell and can differ from measured ones.

Crystal structure
Lattice parameters (Å, degrees): 9.3421 9.3421 10.0521 90.00 90.00 120.00
Space group R-3 (No. 148, hexagonal axes)
Asymmetric unit:
1 Tb 0.0243 0.2562 0.2159 [18 per cell]
2 Pr 0.0000 0.0000 0.5000 [3 per cell]
3 Cd 0.0000 0.0000 0.0000 [3 per cell]

Main lines, by intensity (2θ = 15–90°):
2θ 30.6, d 2.926, intensity 100, hkl 2 1 1
2θ 34.3, d 2.612, intensity 79, hkl 3 -2 2
2θ 32.9, d 2.723, intensity 46, hkl 1 1 3
2θ 28.3, d 3.151, intensity 31, hkl 2 0 2
2θ 58.6, d 1.576, intensity 28, hkl 2 -1 6
2θ 51.8, d 1.765, intensity 23, hkl 1 4 0
2θ 33.2, d 2.697, intensity 20, hkl 3 0 0
2θ 26.6, d 3.351, intensity 19, hkl 0 0 3
2θ 37.5, d 2.400, intensity 17, hkl 1 0 4
2θ 50.0, d 1.825, intensity 15, hkl 3 2 1
2θ 46.8, d 1.942, intensity 13, hkl 2 1 4
2θ 63.6, d 1.463, intensity 12, hkl 4 2 2

Starting from the PBE geometry in Alexandria, the powder diffraction line list of Tb5Pr2Cd was simulated for Cu Kα, 1.54184 Å.
Peak positions follow from Bragg's law for the DFT cell and can differ from measured ones.

Crystal structure
Lattice parameters (Å, degrees): 9.9448 10.1504 9.9440 90.00 90.00 90.00
Space group Fmm2 (No. 42)
Asymmetric unit:
1 Tb 0.0000 0.0000 0.0000 [4 per cell]
2 Tb 0.0000 0.2494 0.2500 [8 per cell]
3 Tb 0.2500 0.2500 0.0000 [8 per cell]
4 Pr 0.2489 0.0000 0.7495 [8 per cell]
5 Cd 0.0000 0.0000 0.4995 [4 per cell]

Main lines, by intensity (2θ = 15–90°):
2θ 30.9, d 2.890, intensity 100, hkl 2 2 2
2θ 36.1, d 2.486, intensity 33, hkl 4 0 0
2θ 61.8, d 1.502, intensity 28, hkl 6 2 2
2θ 51.5, d 1.776, intensity 24, hkl 4 4 0
2θ 35.4, d 2.538, intensity 18, hkl 0 4 0
2θ 60.8, d 1.524, intensity 15, hkl 2 6 2
2θ 64.5, d 1.445, intensity 12, hkl 4 4 4
2θ 84.0, d 1.152, intensity 12, hkl 6 6 2
2θ 52.0, d 1.758, intensity 12, hkl 4 0 4
2θ 84.9, d 1.142, intensity 6, hkl 6 2 6
2θ 86.0, d 1.130, intensity 6, hkl 4 8 0
2θ 87.4, d 1.116, intensity 5, hkl 8 4 0

Starting from the PBE geometry in Alexandria, the powder diffraction line list of Tb2PrCd3 was simulated for Cu Kα, 1.54184 Å.
Peak positions follow from Bragg's law for the DFT cell and can differ from measured ones.

Crystal structure
Lattice parameters (Å, degrees): 5.3440 16.0554 7.6811 90.00 90.00 90.00
Space group Cmmm (No. 65)
Asymmetric unit:
1 Tb 0.0000 0.0000 0.0000 [2 per cell]
2 Tb 0.0000 0.0000 0.5000 [2 per cell]
3 Tb 0.0000 0.3312 0.0000 [4 per cell]
4 Pr 0.0000 0.3343 0.5000 [4 per cell]
5 Cd 0.0000 0.1634 0.2387 [8 per cell]
6 Cd 0.0000 0.5000 0.2388 [4 per cell]

Main lines, by intensity (2θ = 15–90°):
2θ 33.2, d 2.695, intensity 100, hkl 1 3 2
2θ 33.5, d 2.674, intensity 49, hkl 2 0 0
2θ 59.7, d 1.548, intensity 36, hkl 3 3 2
2θ 59.2, d 1.560, intensity 18, hkl 2 0 4
2θ 48.1, d 1.891, intensity 18, hkl 2 6 0
2θ 69.8, d 1.347, intensity 11, hkl 2 6 4
2θ 47.3, d 1.920, intensity 9, hkl 0 0 4
2θ 80.3, d 1.196, intensity 8, hkl 4 6 0
2θ 80.1, d 1.198, intensity 8, hkl 3 9 2
2θ 79.0, d 1.213, intensity 7, hkl 1 3 6
2θ 89.3, d 1.097, intensity 3, hkl 4 0 4
2θ 89.2, d 1.098, intensity 3, hkl 0 12 4

Starting from the PBE geometry in Alexandria, the powder diffraction line list of Tb2Pr3Cd2 was simulated for Cu Kα, 1.54184 Å.
Peak positions follow from Bragg's law for the DFT cell and can differ from measured ones.

Crystal structure
Lattice parameters (Å, degrees): 5.1312 23.5644 3.5347 90.00 90.00 90.00
Space group Cmmm (No. 65)
Asymmetric unit:
1 Tb 0.0000 0.2102 0.0000 [4 per cell]
2 Pr 0.0000 0.3558 0.5000 [4 per cell]
3 Pr 0.0000 0.5000 0.5000 [2 per cell]
4 Cd 0.0000 0.0694 0.0000 [4 per cell]

Main lines, by intensity (2θ = 15–90°):
2θ 31.8, d 2.815, intensity 100, hkl 1 7 0
2θ 31.0, d 2.889, intensity 84, hkl 1 1 1
2θ 35.0, d 2.566, intensity 39, hkl 2 0 0
2θ 62.0, d 1.497, intensity 29, hkl 1 7 2
2θ 34.1, d 2.627, intensity 27, hkl 0 6 1
2θ 39.8, d 2.263, intensity 25, hkl 0 8 1
2θ 54.0, d 1.697, intensity 20, hkl 2 8 1
2θ 49.7, d 1.836, intensity 19, hkl 2 6 1
2θ 60.7, d 1.525, intensity 15, hkl 3 7 0
2θ 32.8, d 2.729, intensity 15, hkl 1 3 1
2θ 64.0, d 1.455, intensity 13, hkl 2 0 2
2θ 83.8, d 1.155, intensity 13, hkl 3 7 2

Starting from the PBE geometry in Alexandria, the powder diffraction line list of Tb3PrCd was simulated for Cu Kα, 1.54184 Å.
Peak positions follow from Bragg's law for the DFT cell and can differ from measured ones.

Crystal structure
Lattice parameters (Å, degrees): 3.5897 5.5919 15.6039 90.00 90.00 90.00
Space group Imm2 (No. 44)
Asymmetric unit:
1 Tb 0.0000 0.0000 0.0000 [2 per cell]
2 Tb 0.0000 0.0000 0.4292 [2 per cell]
3 Tb 0.0000 0.5000 0.3100 [2 per cell]
4 Pr 0.0000 0.5000 0.7140 [2 per cell]
5 Cd 0.0000 0.5000 0.1086 [2 per cell]

Main lines, by intensity (2θ = 15–90°):
2θ 31.8, d 2.817, intensity 100, hkl 1 1 2
2θ 32.9, d 2.725, intensity 84, hkl 0 1 5
2θ 32.0, d 2.796, intensity 50, hkl 0 2 0
2θ 30.3, d 2.954, intensity 39, hkl 1 0 3
2θ 61.9, d 1.499, intensity 27, hkl 2 1 5
2θ 44.6, d 2.031, intensity 27, hkl 1 2 3
2θ 80.4, d 1.194, intensity 20, hkl 2 3 5
2θ 58.9, d 1.568, intensity 19, hkl 1 2 7
2θ 56.9, d 1.618, intensity 19, hkl 1 3 2
2θ 37.7, d 2.388, intensity 19, hkl 1 1 4
2θ 57.6, d 1.600, intensity 18, hkl 0 3 5
2θ 48.0, d 1.894, intensity 18, hkl 1 0 7

Starting from the PBE geometry in Alexandria, the powder diffraction line list of TbPr2Cd8 was simulated for Cu Kα, 1.54184 Å.
Peak positions follow from Bragg's law for the DFT cell and can differ from measured ones.

Crystal structure
Lattice parameters (Å, degrees): 8.4496 16.0902 5.3635 90.00 129.37 90.00
Space group C2/m (No. 12)
Asymmetric unit:
1 Tb 0.0000 0.0000 0.0000 [2 per cell]
2 Pr 0.0000 0.3086 0.5000 [4 per cell]
3 Cd 0.0000 0.1972 0.0000 [4 per cell]
4 Cd 0.0009 0.5000 0.2532 [4 per cell]
5 Cd 0.2257 0.1237 0.7262 [8 per cell]

Main lines, by intensity (2θ = 15–90°):
2θ 32.4, d 2.759, intensity 100, hkl 1 5 -1
2θ 32.6, d 2.749, intensity 83, hkl 1 1 1
2θ 35.4, d 2.536, intensity 65, hkl 2 4 0
2θ 33.4, d 2.682, intensity 55, hkl 2 0 -2
2θ 36.3, d 2.475, intensity 51, hkl 3 3 -1
2θ 64.6, d 1.443, intensity 34, hkl 0 8 2
2θ 59.2, d 1.562, intensity 31, hkl 3 5 -3
2θ 36.7, d 2.452, intensity 24, hkl 3 1 -2
2θ 66.5, d 1.405, intensity 21, hkl 3 5 1
2θ 43.7, d 2.073, intensity 20, hkl 2 6 0
2θ 40.0, d 2.252, intensity 19, hkl 1 3 -2
2θ 61.6, d 1.505, intensity 18, hkl 1 3 -3

Starting from the PBE geometry in Alexandria, the powder diffraction line list of Tb8Pr2Cd was simulated for Cu Kα, 1.54184 Å.
Peak positions follow from Bragg's law for the DFT cell and can differ from measured ones.

Crystal structure
Lattice parameters (Å, degrees): 6.1524 6.1654 9.3583 90.01 96.44 99.89
Space group P-1 (No. 2)
Asymmetric unit:
1 Tb 0.0448 0.0946 0.1748 [2 per cell]
2 Tb 0.2320 0.4622 0.9114 [2 per cell]
3 Tb 0.3106 0.6414 0.2676 [2 per cell]
4 Tb 0.4130 0.8208 0.6434 [2 per cell]
5 Pr 0.1356 0.2759 0.5419 [2 per cell]
6 Cd 0.5000 0.0000 0.0000 [1 per cell]

Main lines, by intensity (2θ = 15–90°):
2θ 30.8, d 2.904, intensity 100, hkl 2 -1 0
2θ 30.9, d 2.890, intensity 98, hkl 1 1 2
2θ 35.8, d 2.506, intensity 66, hkl 2 1 -1
2θ 61.2, d 1.513, intensity 42, hkl 4 0 -1
2θ 51.6, d 1.773, intensity 35, hkl 1 3 1
2θ 35.7, d 2.515, intensity 34, hkl -1 2 2
2θ 61.4, d 1.511, intensity 14, hkl 3 2 1
2θ 61.5, d 1.508, intensity 13, hkl 2 0 5
2θ 64.1, d 1.452, intensity 12, hkl 4 -2 0
2θ 51.3, d 1.781, intensity 12, hkl 2 -3 1
2θ 51.4, d 1.777, intensity 12, hkl -3 1 3
2θ 51.7, d 1.768, intensity 11, hkl 0 1 5

Starting from the PBE geometry in Alexandria, the powder diffraction line list of Pr3Tl2Cd3 was simulated for Cu Kα, 1.54184 Å.
Peak positions follow from Bragg's law for the DFT cell and can differ from measured ones.

Crystal structure
Lattice parameters (Å, degrees): 7.7113 7.7113 4.5454 90.00 90.00 120.00
Space group P-62m (No. 189)
Asymmetric unit:
1 Pr 0.0000 0.6085 0.0000 [3 per cell]
2 Tl 0.3333 0.6667 0.5000 [2 per cell]
3 Cd 0.0000 0.2261 0.5000 [3 per cell]

Main lines, by intensity (2θ = 15–90°):
2θ 30.4, d 2.940, intensity 100, hkl 1 1 1
2θ 35.6, d 2.524, intensity 39, hkl 2 1 0
2θ 33.3, d 2.691, intensity 38, hkl 2 0 1
2θ 54.3, d 1.689, intensity 23, hkl 2 1 2
2θ 39.7, d 2.273, intensity 21, hkl 0 0 2
2θ 40.5, d 2.226, intensity 21, hkl 3 0 0
2θ 40.9, d 2.207, intensity 19, hkl 2 1 1
2θ 67.5, d 1.388, intensity 19, hkl 4 1 1
2θ 58.0, d 1.590, intensity 15, hkl 3 0 2
2θ 64.1, d 1.452, intensity 12, hkl 3 2 1
2θ 66.3, d 1.410, intensity 11, hkl 1 1 3
2θ 53.4, d 1.715, intensity 9, hkl 3 1 1

Starting from the PBE geometry in Alexandria, the powder diffraction line list of Pr6TlCd3 was simulated for Cu Kα, 1.54184 Å.
Peak positions follow from Bragg's law for the DFT cell and can differ from measured ones.

Crystal structure
Lattice parameters (Å, degrees): 9.6518 5.4793 12.1456 90.00 107.44 90.00
Space group P2_1/m (No. 11)
Asymmetric unit:
1 Pr 0.0386 0.2500 0.4136 [2 per cell]
2 Pr 0.1585 0.7500 0.1761 [2 per cell]
3 Pr 0.2353 0.2500 0.9946 [2 per cell]
4 Pr 0.3377 0.7500 0.8015 [2 per cell]
5 Pr 0.3701 0.2500 0.3445 [2 per cell]
6 Pr 0.4068 0.2500 0.6253 [2 per cell]
7 Tl 0.4555 0.7500 0.0936 [2 per cell]
8 Cd 0.0305 0.7500 0.8725 [2 per cell]
9 Cd 0.1108 0.2500 0.7132 [2 per cell]
10 Cd 0.2689 0.7500 0.4746 [2 per cell]

Main lines, by intensity (2θ = 15–90°):
2θ 32.1, d 2.784, intensity 100, hkl 1 1 3
2θ 32.3, d 2.773, intensity 96, hkl 3 1 -1
2θ 32.7, d 2.740, intensity 57, hkl 0 2 0
2θ 31.2, d 2.870, intensity 41, hkl 2 0 -4
2θ 58.1, d 1.588, intensity 33, hkl 3 3 -1
2θ 45.8, d 1.982, intensity 28, hkl 2 2 -4
2θ 35.3, d 2.542, intensity 20, hkl 2 1 -4
2θ 58.0, d 1.590, intensity 18, hkl 1 3 3
2θ 46.6, d 1.948, intensity 15, hkl 4 0 2
2θ 77.2, d 1.236, intensity 11, hkl 2 4 -4
2θ 33.0, d 2.716, intensity 8, hkl 3 1 -2
2θ 56.0, d 1.642, intensity 8, hkl 1 1 -7

Starting from the PBE geometry in Alexandria, the powder diffraction line list of Pr3Tl2Cd was simulated for Cu Kα, 1.54184 Å.
Peak positions follow from Bragg's law for the DFT cell and can differ from measured ones.

Crystal structure
Lattice parameters (Å, degrees): 5.5400 5.5400 13.6013 90.00 90.00 120.00
Space group P-3m1 (No. 164)
Asymmetric unit:
1 Pr 0.0000 0.0000 0.2481 [2 per cell]
2 Pr 0.3333 0.6667 0.4156 [2 per cell]
3 Pr 0.3333 0.6667 0.9178 [2 per cell]
4 Tl 0.0000 0.0000 0.0000 [1 per cell]
5 Tl 0.0000 0.0000 0.5000 [1 per cell]
6 Tl 0.3333 0.6667 0.6707 [2 per cell]
7 Cd 0.3333 0.6667 0.1678 [2 per cell]

Main lines, by intensity (2θ = 15–90°):
2θ 32.3, d 2.772, intensity 100, hkl 1 1 0
2θ 57.6, d 1.601, intensity 29, hkl 2 1 4
2θ 46.3, d 1.960, intensity 18, hkl 0 2 4
2θ 76.9, d 1.240, intensity 17, hkl 1 3 4
2θ 57.6, d 1.599, intensity 10, hkl 3 0 0
2θ 67.5, d 1.387, intensity 6, hkl 2 0 8
2θ 67.6, d 1.385, intensity 6, hkl 2 2 0
2θ 85.9, d 1.131, intensity 3, hkl 4 0 4
2θ 19.6, d 4.526, intensity 2, hkl 0 0 3
2θ 22.7, d 3.920, intensity 1, hkl 0 1 2
2θ 38.1, d 2.364, intensity 1, hkl 1 1 3
2θ 85.7, d 1.133, intensity 1, hkl 0 0 12